Entry 1:
Structure and theoretical powder diffractogram of NaFe2O4 (a cell relaxed with GGA+U; λ = 1.5418 Å (Cu Kα)).

Top 10 peaks for 10° ≤ 2θ ≤ 80°, in order of rising 2θ:
hkl, Position (°2θ), I_rel
1 0 2, 19.0, 49
2 0 0, 19.2, 67
0 0 4, 33.1, 58
3 0 2, 33.5, 100
1 1 2, 35.6, 95
2 1 0, 35.7, 44
2 1 4, 49.4, 55
4 1 0, 49.8, 37
1 1 6, 60.7, 26
4 1 4, 61.1, 36

Atomic structure:
a b c (Å): 9.2397 2.9981 10.8373
angles (deg): 90.00 90.00 90.00
Sites, in units of the cell vectors:
Na (0.2426, 0.2500, 0.1574)
Na (0.2574, 0.7500, 0.6574)
Na (0.7426, 0.2500, 0.3426)
Na (0.7574, 0.7500, 0.8426)
Fe (0.0630, 0.2500, 0.3880)
Fe (0.0835, 0.2500, 0.8973)
Fe (0.4165, 0.7500, 0.3973)
Fe (0.4370, 0.7500, 0.8880)
Fe (0.5630, 0.2500, 0.1120)
Fe (0.5835, 0.2500, 0.6027)
Fe (0.9165, 0.7500, 0.1027)
Fe (0.9370, 0.7500, 0.6120)
O (0.0237, 0.7500, 0.7855)
O (0.0754, 0.2500, 0.5740)
O (0.1142, 0.7500, 0.0198)
O (0.2051, 0.7500, 0.3493)
O (0.2949, 0.2500, 0.8493)
O (0.3858, 0.2500, 0.5198)
O (0.4246, 0.7500, 0.0740)
O (0.4763, 0.2500, 0.2855)
O (0.5237, 0.7500, 0.7145)
O (0.5754, 0.2500, 0.9260)
O (0.6142, 0.7500, 0.4802)
O (0.7051, 0.7500, 0.1507)
O (0.7949, 0.2500, 0.6507)
O (0.8858, 0.2500, 0.9802)
O (0.9246, 0.7500, 0.4260)
O (0.9763, 0.2500, 0.2145)

Entry 2:
Structure and theoretical powder diffractogram of MgCr3Se3S3O24 (a cell relaxed with GGA+U; λ = 1.5418 Å (Cu Kα)).

Top 10 peaks for 10° ≤ 2θ ≤ 80°, in order of rising 2θ:
hkl, Position (°2θ), I_rel
-1 1 1, 14.4, 55
1 0 -2, 19.9, 17
0 0 2, 23.5, 25
2 -1 0, 23.9, 62
-1 2 1, 24.1, 100
-2 1 2, 24.2, 26
2 0 0, 28.7, 21
2 -1 1, 31.4, 22
1 1 -3, 31.9, 19
-3 2 1, 32.5, 19

Atomic structure:
a b c (Å): 8.4637 8.4670 8.9635
angles (deg): 90.27 117.41 119.75
Sites, in units of the cell vectors:
Mg (0.0000, 0.0000, 0.0000)
Cr (0.5825, 0.7794, 0.3670)
Cr (0.5936, 0.2780, 0.8875)
Cr (0.9931, 0.4782, 0.5050)
Se (0.0787, 0.6680, 0.1871)
Se (0.0800, 0.8762, 0.6920)
Se (0.4958, 0.5935, 0.6896)
S (0.5133, 0.3907, 0.1867)
S (0.7824, 0.0950, 0.1854)
S (0.7892, 0.1694, 0.6859)
O (0.0207, 0.8420, 0.8447)
O (0.1196, 0.6410, 0.3828)
O (0.1579, 0.7338, 0.6770)
O (0.2538, 0.4778, 0.6647)
O (0.2778, 0.1050, 0.7367)
O (0.3099, 0.7583, 0.1971)
O (0.3333, 0.1968, 0.1400)
O (0.4587, 0.5293, 0.2001)
O (0.4676, 0.6048, 0.4930)
O (0.5700, 0.4183, 0.0462)
O (0.5844, 0.4477, 0.7391)
O (0.6089, 0.1123, 0.0422)
O (0.6307, 0.1444, 0.7344)
O (0.6582, 0.8014, 0.8412)
O (0.6618, 0.0176, 0.5174)
O (0.6695, 0.9017, 0.2009)
O (0.7058, 0.4380, 0.3559)
O (0.8772, 0.8330, 0.4945)
O (0.8822, 0.3591, 0.6575)
O (0.8909, 0.2366, 0.3540)
O (0.9088, 0.4514, 0.0306)
O (0.9395, 0.1235, 0.1434)
O (0.9592, 0.1579, 0.8255)
O (0.9995, 0.8130, 0.1485)